1.
Computed powder diffraction line list of Ag3PbCl9 for λ = 1.5418 Å (Cu Kα), from a structure optimized by DFT (PBE).

Largest 10 diffraction maxima, by angle, 2θ from 5° to 70°:
2θ/deg, d [Å], intensity
13.8, 6.402, 63
17.1, 5.198, 100
21.7, 4.092, 28
22.7, 3.924, 27
24.3, 3.664, 20
25.9, 3.443, 25
27.6, 3.229, 20
27.9, 3.202, 20
32.9, 2.720, 23
39.3, 2.291, 22

```
Ag3PbCl9
1.0
8.6631 -3.5962 0.0000
8.6631 3.5962 0.0000
-8.0735 0.0000 12.8079
Ag Pb Cl
6 2 18
Cartesian
4.6263 3.3810 6.4039
3.0659 1.3895 2.5529
1.9101 0.6568 9.3348
-0.9709 -1.3895 8.9568
5.9469 -0.6568 2.9309
8.6631 -3.3810 0.0000
4.9247 0.9708 12.2290
8.9615 -0.9708 5.8250
4.8085 1.9683 1.0682
-0.1883 1.5710 8.5970
1.2916 0.6809 4.0061
2.9278 2.0637 7.6283
2.3230 2.2619 11.8595
4.6715 1.0913 4.2878
-2.7452 -0.6809 10.4100
6.2394 1.6596 7.1790
3.8485 -1.5710 2.1931
8.0386 0.4018 3.5117
0.6347 -1.0913 10.6918
0.7718 -1.9683 7.4721
4.0018 -0.4018 9.9156
11.3878 0.9455 5.4812
6.9646 -2.0637 1.2244
10.2761 -1.6596 0.7750
6.3598 -2.2619 5.4556
7.3510 -0.9455 11.8851
```

2.
Computed powder diffraction line list of CsRbCd6 for λ = 1.5418 Å (Cu Kα), from a structure optimized by DFT (PBE).

Largest 10 diffraction maxima, by angle, 2θ from 5° to 70°:
2θ/deg, d [Å], intensity
12.0, 7.394, 42
24.1, 3.697, 26
30.5, 2.930, 100
32.0, 2.795, 21
37.4, 2.403, 18
41.2, 2.193, 28
42.3, 2.134, 11
48.2, 1.886, 18
50.1, 1.822, 12
63.3, 1.470, 12

```
CsRbCd6
1.0
4.8067 0.0000 0.0000
0.0000 8.5477 0.0000
0.0000 0.0000 14.7698
Cs Rb Cd
2 2 12
Cartesian
0.0000 0.0000 0.0000
0.0000 4.2738 7.3849
2.4034 0.0000 4.9139
2.4034 4.2738 12.2988
0.0000 0.0000 7.9193
0.0000 1.6647 10.8028
0.0000 2.6091 3.4179
0.0000 4.2738 0.5344
0.0000 5.9385 3.4179
0.0000 6.8830 10.8028
2.4034 0.0000 11.7052
2.4034 1.6135 8.9092
2.4034 2.6603 1.5243
2.4034 4.2738 4.3203
2.4034 5.8873 1.5243
2.4034 6.9341 8.9092
```

3.
Computed powder diffraction line list of Na2PtO4 for λ = 1.5418 Å (Cu Kα), from a structure optimized by DFT (PBE).

Largest 10 diffraction maxima, by angle, 2θ from 5° to 70°:
2θ/deg, d [Å], intensity
16.5, 5.379, 100
18.3, 4.853, 71
19.3, 4.594, 73
29.2, 3.062, 38
30.1, 2.964, 42
32.1, 2.788, 50
34.2, 2.625, 28
38.6, 2.332, 33
41.2, 2.190, 46
53.6, 1.710, 24

```
Na2PtO4
1.0
10.5257 0.0000 0.0000
0.0000 3.1318 0.0000
-3.0058 0.0000 5.3786
Na Pt O
4 2 8
Cartesian
1.1709 0.0000 0.9655
1.0861 1.5659 4.4130
6.4338 1.5659 0.9655
6.3489 0.0000 4.4130
-1.5029 1.5659 2.6893
3.7599 0.0000 2.6893
-1.8625 1.5659 4.5508
-0.2147 0.0000 2.9419
2.4717 1.5659 2.4367
4.1195 0.0000 0.8278
3.4004 0.0000 4.5508
5.0482 1.5659 2.9419
7.7345 0.0000 2.4367
9.3823 1.5659 0.8278
```

4.
Computed powder diffraction line list of KLi2AcBr6 for λ = 1.5418 Å (Cu Kα), from a structure optimized by DFT (PBE).

Largest 10 diffraction maxima, by angle, 2θ from 5° to 70°:
2θ/deg, d [Å], intensity
14.4, 6.169, 57
16.3, 5.428, 42
22.6, 3.935, 35
27.4, 3.259, 100
28.9, 3.084, 62
33.0, 2.714, 31
36.3, 2.476, 55
36.9, 2.435, 24
41.7, 2.164, 31
48.0, 1.896, 32

```
KLi2AcBr6
1.0
3.7485 2.1642 6.5962
-3.7485 2.1642 6.5962
0.0000 -4.3284 6.5962
K Li Ac Br
1 2 1 6
Cartesian
0.0000 0.0000 0.0000
0.0000 0.0000 4.2645
0.0000 0.0000 14.2615
0.0000 0.0000 10.1971
-1.4175 -2.4538 9.0503
-2.1637 0.5187 12.2993
-1.4163 2.4545 9.0503
0.6327 -2.1332 12.2993
2.8338 -0.0007 9.0503
1.5311 1.6145 12.2994
```

5.
Computed powder diffraction line list of Pa2GaCo for λ = 1.5418 Å (Cu Kα), from a structure optimized by DFT (PBE).

Largest 10 diffraction maxima, by angle, 2θ from 5° to 70°:
2θ/deg, d [Å], intensity
23.3, 3.816, 29
30.2, 2.955, 22
30.5, 2.933, 28
34.0, 2.639, 15
35.5, 2.528, 100
37.7, 2.385, 7
43.5, 2.082, 27
54.8, 1.675, 10
57.2, 1.611, 14
57.5, 1.603, 21

```
Pa2GaCo
1.0
5.9104 0.0000 0.0000
0.0000 5.8660 0.0000
0.0000 0.0000 9.5404
Pa Ga Co
8 4 4
Cartesian
0.2836 1.3237 0.8850
0.2836 1.6093 3.8852
2.6716 4.2567 3.8852
2.6716 4.5423 0.8850
3.2388 1.3237 8.6555
3.2388 1.6093 5.6552
5.6267 4.2567 5.6552
5.6267 4.5423 8.6555
0.0316 1.4665 7.1553
2.9236 4.3995 7.1553
2.9867 1.4665 2.3851
5.8788 4.3995 2.3851
1.4776 0.0000 5.8690
1.4776 2.9330 8.4416
4.4328 0.0000 3.6714
4.4328 2.9330 1.0988
```

6.
Computed powder diffraction line list of Tb4B3Rh12Pb for λ = 1.5418 Å (Cu Kα), from a structure optimized by DFT (PBE).

Largest 10 diffraction maxima, by angle, 2θ from 5° to 70°:
2θ/deg, d [Å], intensity
28.8, 3.104, 22
32.2, 2.776, 11
35.4, 2.534, 100
38.4, 2.346, 16
41.1, 2.195, 80
43.8, 2.069, 6
48.7, 1.871, 10
51.0, 1.792, 7
59.6, 1.552, 50
67.5, 1.388, 6

```
Tb4B3Rh12Pb
1.0
-4.3891 4.3891 4.3891
4.3891 -4.3891 4.3891
4.3891 4.3891 -4.3891
Tb B Rh Pb
4 3 12 1
Cartesian
2.1945 2.1945 -2.1945
2.1945 -2.1945 2.1945
-2.1945 2.1945 2.1945
2.1945 2.1945 2.1945
4.3891 0.0000 0.0000
0.0000 4.3891 0.0000
0.0000 0.0000 4.3891
2.4809 0.0000 0.0000
6.2972 0.0000 0.0000
4.3891 2.1945 0.0000
4.3891 0.0000 2.1945
0.0000 2.4809 0.0000
0.0000 0.0000 2.4809
2.1945 4.3891 0.0000
2.1945 0.0000 4.3891
0.0000 6.2972 0.0000
0.0000 0.0000 6.2972
0.0000 4.3891 2.1945
0.0000 2.1945 4.3891
0.0000 0.0000 0.0000
```

7.
Computed powder diffraction line list of Pr12Ho2Tm for λ = 1.5418 Å (Cu Kα), from a structure optimized by DFT (PBE).

Largest 10 diffraction maxima, by angle, 2θ from 5° to 70°:
2θ/deg, d [Å], intensity
28.4, 3.141, 28
29.1, 3.065, 44
29.8, 2.994, 63
30.5, 2.930, 65
30.9, 2.893, 19
32.3, 2.770, 100
36.2, 2.484, 33
42.2, 2.143, 19
55.4, 1.659, 20
60.0, 1.541, 19

```
Pr12Ho2Tm
1.0
3.6242 -5.8607 0.0000
3.6242 5.8607 0.0000
0.0000 0.0000 25.1699
Pr Ho Tm
24 4 2
Cartesian
1.8238 2.9303 3.2688
3.6242 5.8364 23.3432
1.9583 2.9303 14.7409
3.6242 5.5711 11.0673
1.8121 0.0000 4.9814
1.8121 0.0000 8.1496
1.8121 0.0000 17.0203
1.8121 0.0000 20.1884
3.6242 0.2896 11.0673
5.2901 2.9303 14.7409
3.6242 0.0242 23.3432
5.4247 2.9303 3.2688
1.8238 -2.9303 21.9011
3.6242 -0.0242 1.8267
1.9583 -2.9303 10.4290
3.6242 -0.2896 14.1026
5.4363 0.0000 4.9814
5.4363 0.0000 8.1496
5.4363 0.0000 17.0203
5.4363 0.0000 20.1884
3.6242 -5.5711 14.1026
5.2901 -2.9303 10.4290
3.6242 -5.8364 1.8267
5.4247 -2.9303 21.9011
3.6242 2.9303 6.8092
3.6242 2.9303 18.4575
3.6242 -2.9303 6.7124
3.6242 -2.9303 18.3607
3.6242 2.9303 0.0226
3.6242 -2.9303 25.1473
```

8.
Computed powder diffraction line list of Cs2P3Se6 for λ = 1.5418 Å (Cu Kα), from a structure optimized by DFT (PBE).

Largest 10 diffraction maxima, by angle, 2θ from 5° to 70°:
2θ/deg, d [Å], intensity
12.7, 6.974, 14
14.0, 6.330, 12
25.5, 3.487, 100
27.6, 3.231, 32
28.2, 3.165, 85
28.7, 3.106, 15
32.8, 2.730, 70
43.4, 2.084, 16
47.1, 1.930, 21
55.8, 1.647, 13

```
Cs2P3Se6
1.0
11.0605 0.0000 0.0000
0.0000 10.9123 0.0000
-9.0269 0.0000 12.9257
Cs P Se
8 12 24
Cartesian
0.1638 0.0462 2.3157
-4.3497 5.4100 8.7786
0.6164 5.4950 3.1360
-3.8971 10.8735 9.5988
5.9306 0.0388 3.3268
1.4171 5.4174 9.7897
6.3832 5.5024 4.1471
1.8697 10.8661 10.6100
-6.9581 7.6374 12.2393
-2.4446 8.7311 5.7765
-1.0798 7.4595 7.1439
3.4337 8.9090 0.6810
4.9444 6.0011 0.7870
0.4309 10.3674 7.2498
1.6026 0.5449 5.6758
-2.9109 4.9112 12.1387
-1.4002 2.0033 12.2446
3.1133 3.4528 5.7818
4.4782 2.1812 7.1492
8.9916 3.2749 0.6863
0.0317 7.8004 0.0206
-4.4818 8.5681 6.4834
-6.6438 8.0742 10.1478
-2.1304 8.2943 3.6850
-6.1693 5.4988 12.7896
-1.6559 10.8697 6.3268
3.2698 0.0549 0.0799
-1.2437 5.4012 6.5427
-1.3884 8.0036 9.2041
3.1251 8.3649 2.7412
-3.5726 8.0752 12.8322
0.9408 8.2933 6.3694
1.0927 2.6190 6.5563
5.6061 2.8371 0.0935
-1.0916 2.5475 10.1845
3.4219 2.9087 3.7216
3.2772 5.5111 6.3829
-1.2363 10.8574 12.8458
3.6894 0.0426 6.5989
8.2028 5.4135 0.1361
4.1639 2.6180 9.2407
8.6774 2.8381 2.7779
6.5153 2.3442 6.4423
2.0018 3.1120 12.9051
```